Entry 1:
Diffraction record for KMnF3. The XRD peak list is simulated, not measured: it uses a DFT-relaxed cell (GGA+U, the Materials Project) and λ = 1.5418 Å (Cu Kα).
Lines closer than 0.1° are merged.

Cell and atoms:
Cell: 6.0381 6.0381 8.5513 Å, 90.00 90.00 90.00°
Space group I4/mcm (No. 140)
Inequivalent atoms, fractional coordinates:
K1 0.0000 0.5000 0.2500 [4 per cell]
Mn1 0.0000 0.0000 0.0000 [4 per cell]
F1 0.0000 0.0000 0.2500 [4 per cell]
F2 0.2400 0.2600 0.0000 [8 per cell]

Peak list (8 most intense, 10 to 90 degrees two-theta, sorted by position)
- 20.79°, d 4.272, I = 26, hkl 0 0 2
- 29.57°, d 3.020, I = 100, hkl 2 0 0
- 36.43°, d 2.466, I = 12, hkl 2 0 2
- 42.32°, d 2.136, I = 71, hkl 0 0 4
- 52.47°, d 1.744, I = 37, hkl 3 1 2
- 61.39°, d 1.510, I = 39, hkl 2 2 4
- 77.39°, d 1.233, I = 12, hkl 4 0 4
- 84.95°, d 1.142, I = 17, hkl 4 2 4

=====

Entry 2:
Diffraction record for Li2V2CuP3O12. The XRD peak list is simulated, not measured: it uses a DFT-relaxed cell (GGA+U, the Materials Project) and λ = 1.5418 Å (Cu Kα).
Lines closer than 0.1° are merged.

Cell and atoms:
Cell: 14.9854 8.8259 8.6576 Å, 90.00 123.82 90.00°
Space group C2 (No. 5)
Inequivalent atoms, fractional coordinates:
Li1 0.0000 0.0000 0.0000 [2 per cell]
Li2 0.0000 0.3053 0.5000 [2 per cell]
Li3 0.2026 0.6061 0.4058 [4 per cell]
V1 0.1042 0.9024 0.3975 [4 per cell]
V2 0.1086 0.4067 0.8936 [4 per cell]
Cu1 0.2396 0.9151 0.2201 [4 per cell]
P1 0.0000 0.6081 0.5000 [2 per cell]
P2 0.0000 0.6950 0.0000 [2 per cell]
P3 0.1427 0.2601 0.2950 [4 per cell]
P4 0.1483 0.0527 0.7983 [4 per cell]
O1 0.0409 0.3138 0.2816 [4 per cell]
O2 0.0424 0.9974 0.7694 [4 per cell]
O3 0.0609 0.6004 0.9412 [4 per cell]
O4 0.0634 0.7036 0.4428 [4 per cell]
O5 0.0841 0.5009 0.6560 [4 per cell]
O6 0.0842 0.8038 0.1607 [4 per cell]
O7 0.1433 0.3025 0.1264 [4 per cell]
O8 0.1537 0.2287 0.7995 [4 per cell]
O9 0.1576 0.0820 0.3170 [4 per cell]
O10 0.1606 0.0047 0.6391 [4 per cell]
O11 0.2395 0.3242 0.4840 [4 per cell]
O12 0.2400 0.9849 0.9870 [4 per cell]

Peak list (8 most intense, 10 to 90 degrees two-theta, sorted by position)
- 20.08°, d 4.421, I = 100, hkl 0 2 0
- 23.69°, d 3.755, I = 48, hkl 3 1 0
- 23.82°, d 3.735, I = 93, hkl 2 2 -1
- 31.19°, d 2.868, I = 28, hkl 1 1 2
- 32.44°, d 2.760, I = 38, hkl 5 1 -1
- 32.62°, d 2.745, I = 71, hkl 4 2 -2
- 35.19°, d 2.550, I = 39, hkl 1 3 1
- 46.73°, d 1.944, I = 27, hkl 5 3 -3